No. 1
Diffraction record for MgH. The X-ray diffraction stick pattern is computed, not measured: it uses the PBE geometry in the Materials Project and a wavelength of 1.5418 Å.
Neutral-atom scattering factors, no anomalous dispersion.

Structural model:
a = 3.2923 Å, b = 3.2923 Å, c = 5.4167 Å
α = 90.00°, β = 90.00°, γ = 120.00°
Fractional coordinates of all 4 atoms:
Mg 0.3333 0.6667 0.0000
Mg 0.6667 0.3333 0.5000
H 0.3333 0.6667 0.6249
H 0.6667 0.3333 0.1249

Principal peaks in the range 2θ from 5° to 70°, by angle:
Position (°2θ), Rel. int.
31.37, 29
33.08, 30
35.58, 100
46.23, 17
55.85, 20
60.71, 22
65.47, 3
66.46, 21
68.00, 14
69.40, 3


No. 2
Diffraction record for Ca3In. The X-ray diffraction stick pattern is computed, not measured: it uses the PBE geometry in the Materials Project and a wavelength of 1.5418 Å.
Neutral-atom scattering factors, no anomalous dispersion.

Structural model:
a = 5.7079 Å, b = 5.7079 Å, c = 5.7079 Å
α = 60.00°, β = 60.00°, γ = 60.00°
Fractional coordinates of all 4 atoms:
Ca 0.0000 0.0000 0.0000
Ca 0.2500 0.2500 0.2500
Ca 0.7500 0.7500 0.7500
In 0.5000 0.5000 0.5000

Principal peaks in the range 2θ from 5° to 70°, by angle:
Position (°2θ), Rel. int.
19.04, 20
22.02, 11
31.34, 100
36.93, 12
38.64, 4
44.92, 18
49.20, 5
50.57, 5
55.79, 35
59.50, 4
65.40, 11
68.80, 4


No. 3
Diffraction record for Ba4LiBi3O11. The X-ray diffraction stick pattern is computed, not measured: it uses the PBE geometry in the Materials Project and a wavelength of 1.5418 Å.
Neutral-atom scattering factors, no anomalous dispersion.

Structural model:
a = 8.7089 Å, b = 6.1648 Å, c = 6.1648 Å
α = 90.61°, β = 90.00°, γ = 90.00°
Fractional coordinates of all 19 atoms:
Ba 0.2455 0.2381 0.7619
Ba 0.2455 0.7619 0.2381
Ba 0.7545 0.2381 0.7619
Ba 0.7545 0.7619 0.2381
Li 0.0000 0.7960 0.7960
Bi 0.0000 0.2519 0.2519
Bi 0.5000 0.2639 0.2639
Bi 0.5000 0.7550 0.7550
O 0.0000 0.0148 0.0148
O 0.0000 0.0156 0.5103
O 0.0000 0.5103 0.0156
O 0.2475 0.2863 0.2863
O 0.2562 0.7584 0.7584
O 0.5000 0.0079 0.0079
O 0.5000 0.0093 0.5137
O 0.5000 0.5122 0.5122
O 0.5000 0.5137 0.0093
O 0.7438 0.7584 0.7584
O 0.7525 0.2863 0.2863

Principal peaks in the range 2θ from 5° to 70°, by angle:
Position (°2θ), Rel. int.
10.16, 10
17.63, 12
28.94, 100
29.06, 52
41.20, 14
41.47, 14
41.66, 14
51.21, 21
51.38, 21
51.50, 20
68.08, 9
68.36, 9


No. 4
Diffraction record for Ga. The X-ray diffraction stick pattern is computed, not measured: it uses the PBE geometry in the Materials Project and a wavelength of 1.5418 Å.
Neutral-atom scattering factors, no anomalous dispersion.

Structural model:
a = 4.4890 Å, b = 4.4890 Å, c = 4.5930 Å
α = 90.00°, β = 90.00°, γ = 119.39°
Fractional coordinates of all 4 atoms:
Ga 0.1558 0.8442 0.9190
Ga 0.3442 0.6558 0.4190
Ga 0.6558 0.3442 0.5810
Ga 0.8442 0.1558 0.0810

Principal peaks in the range 2θ from 5° to 70°, by angle:
Position (°2θ), Rel. int.
22.95, 30
30.01, 100
30.17, 42
39.23, 14
39.79, 49
44.95, 100
45.82, 65
46.89, 15
50.74, 19
63.14, 12
65.56, 18
66.25, 10


No. 5
Diffraction record for As2Rh. The X-ray diffraction stick pattern is computed, not measured: it uses the PBE geometry in the Materials Project and a wavelength of 1.5418 Å.
Neutral-atom scattering factors, no anomalous dispersion.

Structural model:
a = 6.1505 Å, b = 6.1674 Å, c = 6.2410 Å
α = 90.00°, β = 114.11°, γ = 90.00°
Fractional coordinates of all 12 atoms:
As 0.1551 0.1277 0.3700
As 0.1551 0.3723 0.8700
As 0.3384 0.6304 0.6824
As 0.3384 0.8696 0.1824
As 0.6616 0.1304 0.8176
As 0.6616 0.3696 0.3176
As 0.8449 0.6277 0.1300
As 0.8449 0.8723 0.6300
Rh 0.2720 0.0004 0.7898
Rh 0.2720 0.4996 0.2898
Rh 0.7280 0.9996 0.2102
Rh 0.7280 0.5004 0.7102

Principal peaks in the range 2θ from 5° to 70°, by angle:
Position (°2θ), Rel. int.
22.37, 61
28.95, 37
31.41, 69
31.88, 82
33.80, 100
34.69, 46
35.13, 48
46.17, 49
46.86, 62
47.56, 44
52.12, 67
55.05, 52


No. 6
Diffraction record for Na2DyCuCl6. The X-ray diffraction stick pattern is computed, not measured: it uses the PBE geometry in the Materials Project and a wavelength of 1.5418 Å.
Neutral-atom scattering factors, no anomalous dispersion.

Structural model:
a = 7.2512 Å, b = 7.2512 Å, c = 7.2512 Å
α = 60.00°, β = 60.00°, γ = 60.00°
Fractional coordinates of all 10 atoms:
Na 0.2500 0.2500 0.2500
Na 0.7500 0.7500 0.7500
Dy 0.0000 0.0000 0.0000
Cu 0.5000 0.5000 0.5000
Cl 0.2552 0.2552 0.7448
Cl 0.2552 0.7448 0.2552
Cl 0.2552 0.7448 0.7448
Cl 0.7448 0.2552 0.2552
Cl 0.7448 0.2552 0.7448
Cl 0.7448 0.7448 0.2552

Principal peaks in the range 2θ from 5° to 70°, by angle:
Position (°2θ), Rel. int.
14.96, 19
17.29, 100
24.55, 55
28.88, 15
35.00, 63
39.29, 48
43.22, 26
50.33, 42
53.62, 23
56.78, 12
62.78, 14
68.47, 13


No. 7
Diffraction record for TmMn6Al6. The X-ray diffraction stick pattern is computed, not measured: it uses the PBE geometry in the Materials Project and a wavelength of 1.5418 Å.
Neutral-atom scattering factors, no anomalous dispersion.

Structural model:
a = 6.5936 Å, b = 6.5936 Å, c = 6.5936 Å
α = 136.10°, β = 99.04°, γ = 97.02°
Fractional coordinates of all 13 atoms:
Tm 0.0000 0.0000 0.0000
Mn 0.0000 0.0000 0.5000
Mn 0.0000 0.5000 0.0000
Mn 0.2361 0.5000 0.7361
Mn 0.5000 0.0000 0.0000
Mn 0.5000 0.5000 0.5000
Mn 0.7639 0.5000 0.2639
Al 0.1945 0.6945 0.5000
Al 0.3367 0.0000 0.3367
Al 0.3461 0.3461 0.0000
Al 0.6539 0.6539 0.0000
Al 0.6633 0.0000 0.6633
Al 0.8055 0.3055 0.5000

Principal peaks in the range 2θ from 5° to 70°, by angle:
Position (°2θ), Rel. int.
14.49, 64
20.79, 26
29.23, 58
29.47, 56
36.40, 33
41.34, 37
41.75, 64
42.07, 100
42.27, 74
47.38, 21
60.60, 24
61.15, 28


No. 8
Diffraction record for YTaRu2. The X-ray diffraction stick pattern is computed, not measured: it uses the PBE geometry in the Materials Project and a wavelength of 1.5418 Å.
Neutral-atom scattering factors, no anomalous dispersion.

Structural model:
a = 4.6374 Å, b = 4.6374 Å, c = 4.6374 Å
α = 60.00°, β = 60.00°, γ = 60.00°
Fractional coordinates of all 4 atoms:
Y 0.0000 0.0000 0.0000
Ta 0.5000 0.5000 0.5000
Ru 0.2500 0.2500 0.2500
Ru 0.7500 0.7500 0.7500

Principal peaks in the range 2θ from 5° to 70°, by angle:
Position (°2θ), Rel. int.
23.50, 8
27.20, 2
38.84, 100
45.89, 4
48.06, 1
56.09, 17
61.65, 2
63.43, 1


No. 9
Diffraction record for Mg16Al12Sn. The X-ray diffraction stick pattern is computed, not measured: it uses the PBE geometry in the Materials Project and a wavelength of 1.5418 Å.
Neutral-atom scattering factors, no anomalous dispersion.

Structural model:
a = 9.1398 Å, b = 9.1398 Å, c = 9.1398 Å
α = 109.47°, β = 109.47°, γ = 109.47°
Fractional coordinates of all 29 atoms:
Mg 0.0000 0.0000 0.3459
Mg 0.0000 0.3150 0.6001
Mg 0.0000 0.3459 0.0000
Mg 0.0000 0.6001 0.3150
Mg 0.2851 0.6850 0.6850
Mg 0.3150 0.0000 0.6001
Mg 0.3150 0.6001 0.0000
Mg 0.3459 0.0000 0.0000
Mg 0.3999 0.3999 0.7149
Mg 0.3999 0.7149 0.3999
Mg 0.6001 0.0000 0.3150
Mg 0.6001 0.3150 0.0000
Mg 0.6541 0.6541 0.6541
Mg 0.6850 0.2851 0.6850
Mg 0.6850 0.6850 0.2851
Mg 0.7149 0.3999 0.3999
Al 0.0000 0.6293 0.8128
Al 0.0000 0.8128 0.6293
Al 0.1835 0.3707 0.3707
Al 0.1872 0.1872 0.8165
Al 0.1872 0.8165 0.1872
Al 0.3707 0.1835 0.3707
Al 0.3707 0.3707 0.1835
Al 0.6293 0.0000 0.8128
Al 0.6293 0.8128 0.0000
Al 0.8128 0.0000 0.6293
Al 0.8128 0.6293 0.0000
Al 0.8165 0.1872 0.1872
Sn 0.0000 0.0000 0.0000

Principal peaks in the range 2θ from 5° to 70°, by angle:
Position (°2θ), Rel. int.
11.86, 29
20.61, 12
26.71, 8
31.72, 17
36.11, 100
38.13, 7
40.07, 22
41.94, 15
43.74, 8
47.17, 8
62.20, 14
64.93, 28